The following is a calculated powder X-ray diffraction pattern of FeO. It was derived from DFT lattice parameters and positions (GGA+U), using Cu Kα (λ = 1.5418 Å).
Neutral-atom scattering factors, no anomalous dispersion.

Top 8 peaks for 10° ≤ 2θ ≤ 80°, in order of rising 2θ:
| Position (°2θ) | I_rel | index |
| --- | --- | --- |
| 35.3 | 900 | 1 0 1 |
| 39.8 | 1000 | 1 1 0 |
| 43.4 | 379 | 0 0 2 |
| 57.5 | 294 | 2 0 0 |
| 60.4 | 498 | 1 1 2 |
| 69.3 | 249 | 2 1 1 |
| 74.5 | 101 | 1 0 3 |
| 74.7 | 242 | 2 0 2 |

Crystal structure
```
data_FeO
_chemical_formula_sum 'Fe2 O2'
_cell_length_a 3.2042
_cell_length_b 3.2042
_cell_length_c 4.1668
_cell_angle_alpha 90.00
_cell_angle_beta 90.00
_cell_angle_gamma 90.00
_symmetry_space_group_name_H-M 'P 1'
_symmetry_Int_Tables_number 1
loop_
_symmetry_equiv_pos_as_xyz
'x,y,z'
loop_
_atom_site_label
_atom_site_fract_x
_atom_site_fract_y
_atom_site_fract_z
Fe1 0.0000 0.0000 0.0000
Fe2 0.5000 0.5000 0.5000
O1 0.0000 0.0000 0.5000
O2 0.5000 0.5000 0.0000
```

---

The following is a calculated powder X-ray diffraction pattern of Fe3O4. It was derived from DFT lattice parameters and positions (GGA+U), using Cu Kα (λ = 1.5418 Å).
Neutral-atom scattering factors, no anomalous dispersion.

Top 10 peaks for 10° ≤ 2θ ≤ 80°, in order of rising 2θ:
| Position (°2θ) | I_rel | index |
| --- | --- | --- |
| 32.5 | 1000 | 0 2 3 |
| 32.9 | 288 | 1 1 1 |
| 36.5 | 192 | 1 1 2 |
| 36.7 | 206 | 0 4 0 |
| 42.2 | 438 | 1 3 1 |
| 45.1 | 421 | 1 3 2 |
| 56.3 | 192 | 1 1 5 |
| 62.8 | 228 | 2 0 0 |
| 63.4 | 293 | 0 6 3 |
| 72.5 | 166 | 2 2 3 |

Crystal structure
```
data_Fe3O4
_chemical_formula_sum 'Fe12 O16'
_cell_length_a 2.9586
_cell_length_b 9.8015
_cell_length_c 10.0017
_cell_angle_alpha 90.00
_cell_angle_beta 90.00
_cell_angle_gamma 90.00
_symmetry_space_group_name_H-M 'P 1'
_symmetry_Int_Tables_number 1
loop_
_symmetry_equiv_pos_as_xyz
'x,y,z'
loop_
_atom_site_label
_atom_site_fract_x
_atom_site_fract_y
_atom_site_fract_z
Fe1 0.2323 0.1326 0.2500
Fe2 0.2323 0.3674 0.7500
Fe3 0.2562 0.6178 0.5754
Fe4 0.2562 0.6178 0.9246
Fe5 0.2562 0.8822 0.0754
Fe6 0.2562 0.8822 0.4246
Fe7 0.7438 0.1178 0.5754
Fe8 0.7438 0.1178 0.9246
Fe9 0.7438 0.3822 0.0754
Fe10 0.7438 0.3822 0.4246
Fe11 0.7677 0.6326 0.2500
Fe12 0.7677 0.8674 0.7500
O1 0.2428 0.2500 0.0000
O2 0.2428 0.2500 0.5000
O3 0.2475 0.5210 0.1124
O4 0.2475 0.5210 0.3876
O5 0.2475 0.9790 0.6124
O6 0.2475 0.9790 0.8876
O7 0.2690 0.7111 0.7500
O8 0.2690 0.7889 0.2500
O9 0.7310 0.2111 0.7500
O10 0.7310 0.2889 0.2500
O11 0.7525 0.0210 0.1124
O12 0.7525 0.0210 0.3876
O13 0.7525 0.4790 0.6124
O14 0.7525 0.4790 0.8876
O15 0.7572 0.7500 0.0000
O16 0.7572 0.7500 0.5000
```

---

The following is a calculated powder X-ray diffraction pattern of Fe3O4. It was derived from DFT lattice parameters and positions (GGA+U), using Cu Kα (λ = 1.5418 Å).
Neutral-atom scattering factors, no anomalous dispersion.

Top 10 peaks for 10° ≤ 2θ ≤ 80°, in order of rising 2θ:
| Position (°2θ) | I_rel | index |
| --- | --- | --- |
| 18.6 | 348 | 1 2 0 |
| 26.9 | 175 | 0 0 2 |
| 32.9 | 463 | 1 2 2 |
| 35.0 | 1000 | 0 4 2 |
| 36.7 | 406 | 1 6 0 |
| 40.9 | 271 | 2 0 2 |
| 47.7 | 200 | 2 6 1 |
| 53.0 | 333 | 2 2 3 |
| 55.6 | 210 | 0 0 4 |
| 62.9 | 153 | 2 6 3 |

Crystal structure
```
data_Fe3O4
_chemical_formula_sum 'Fe24 O32'
_cell_length_a 5.9240
_cell_length_b 16.1327
_cell_length_c 6.6171
_cell_angle_alpha 90.00
_cell_angle_beta 90.00
_cell_angle_gamma 90.00
_symmetry_space_group_name_H-M 'P 1'
_symmetry_Int_Tables_number 1
loop_
_symmetry_equiv_pos_as_xyz
'x,y,z'
loop_
_atom_site_label
_atom_site_fract_x
_atom_site_fract_y
_atom_site_fract_z
Fe1 0.0000 0.0000 0.0000
Fe2 0.0000 0.0000 0.5000
Fe3 0.0000 0.5000 0.0000
Fe4 0.0000 0.5000 0.5000
Fe5 0.0105 0.1472 0.2500
Fe6 0.0105 0.3528 0.7500
Fe7 0.2365 0.1550 0.7500
Fe8 0.2365 0.3450 0.2500
Fe9 0.2675 0.5978 0.7500
Fe10 0.2675 0.9022 0.2500
Fe11 0.4354 0.7500 0.0000
Fe12 0.4354 0.7500 0.5000
Fe13 0.4808 0.6014 0.2500
Fe14 0.4808 0.8986 0.7500
Fe15 0.5192 0.1014 0.2500
Fe16 0.5192 0.3986 0.7500
Fe17 0.5646 0.2500 0.0000
Fe18 0.5646 0.2500 0.5000
Fe19 0.7325 0.0978 0.7500
Fe20 0.7325 0.4022 0.2500
Fe21 0.7635 0.6550 0.7500
Fe22 0.7635 0.8450 0.2500
Fe23 0.9895 0.6472 0.2500
Fe24 0.9895 0.8528 0.7500
O1 0.0062 0.6275 0.5546
O2 0.0062 0.6275 0.9454
O3 0.0062 0.8725 0.0546
O4 0.0062 0.8725 0.4454
O5 0.2047 0.5344 0.2500
O6 0.2047 0.9656 0.7500
O7 0.2490 0.0260 0.2500
O8 0.2490 0.4740 0.7500
O9 0.2586 0.7118 0.2500
O10 0.2586 0.7882 0.7500
O11 0.2792 0.2238 0.2500
O12 0.2792 0.2762 0.7500
O13 0.4914 0.1249 0.5518
O14 0.4914 0.1249 0.9482
O15 0.4914 0.3751 0.0518
O16 0.4914 0.3751 0.4482
O17 0.5086 0.6249 0.5518
O18 0.5086 0.6249 0.9482
O19 0.5086 0.8751 0.0518
O20 0.5086 0.8751 0.4482
O21 0.7208 0.7238 0.2500
O22 0.7208 0.7762 0.7500
O23 0.7414 0.2118 0.2500
O24 0.7414 0.2882 0.7500
O25 0.7510 0.5260 0.2500
O26 0.7510 0.9740 0.7500
O27 0.7953 0.0344 0.2500
O28 0.7953 0.4656 0.7500
O29 0.9938 0.1275 0.5546
O30 0.9938 0.1275 0.9454
O31 0.9938 0.3725 0.0546
O32 0.9938 0.3725 0.4454
```